For BH4Rh5, a GGA-PBE-relaxed structure gives the computed powder XRD pattern in this record (CuKα).
Lines closer than 0.1° are merged.

```
data_BH4Rh5
_space_group_name_H-M_alt 'P 1'
_space_group_IT_number 1
_space_group_name_Hall 'P 1'
_cell_length_a 4.285
_cell_length_b 5.023
_cell_length_c 5.031
_cell_angle_alpha 79.72
_cell_angle_beta 65.00
_cell_angle_gamma 65.22
loop_
_atom_site_label
_atom_site_fract_x
_atom_site_fract_y
_atom_site_fract_z
_atom_site_occupancy
B1 0.000 0.000 0.000 1
H1 0.260 0.167 0.413 1
H2 0.427 0.417 0.831 1
H3 0.673 0.584 0.167 1
H4 0.844 0.830 0.582 1
Rh1 0.091 0.595 0.206 1
Rh2 0.297 0.794 0.596 1
Rh3 0.497 0.000 0.000 1
Rh4 0.687 0.206 0.404 1
Rh5 0.892 0.404 0.794 1
```

Main lines, most intense first (2θ from 5° to 70°):
2θ (°)	d/Å	Rel. int.	index
37.6	2.392	100.0	1 0 2
44.4	2.039	68.0	0 1 2
37.4	2.403	50.8	1 -1 0
37.7	2.384	49.5	1 2 1
42.2	2.142	39.5	2 1 1
63.1	1.473	23.0	2 3 0
64.6	1.442	21.4	0 3 1
62.7	1.483	11.8	2 0 -1
62.7	1.481	11.7	2 -1 2

=====

For AgSbPd5, a GGA-PBE-relaxed structure gives the computed powder XRD pattern in this record (CuKα).
Lines closer than 0.1° are merged.

```
data_AgSbPd5
_space_group_name_H-M_alt 'P 4/m m m'
_space_group_IT_number 123
_space_group_name_Hall '-P 4 2'
_cell_length_a 4.058
_cell_length_b 4.058
_cell_length_c 7.446
_cell_angle_alpha 90.00
_cell_angle_beta 90.00
_cell_angle_gamma 90.00
loop_
_atom_site_label
_atom_site_fract_x
_atom_site_fract_y
_atom_site_fract_z
_atom_site_occupancy
Ag1 0.000 0.000 0.000 1
Sb1 0.500 0.500 0.500 1
Pd1 0.000 0.500 0.271 1
Pd2 0.500 0.500 0.000 1
```

Main lines, most intense first (2θ from 5° to 70°):
2θ (°)	d/Å	Rel. int.	index
39.7	2.273	100.0	1 1 2
44.7	2.029	36.8	2 0 0
68.4	1.372	17.1	2 0 4
48.9	1.862	12.0	0 0 4
65.0	1.435	11.7	2 2 0
25.0	3.563	9.2	1 0 1
33.5	2.677	6.8	1 1 1
21.9	4.058	5.6	1 0 0
32.6	2.743	4.0	1 0 2
36.2	2.482	3.9	0 0 3
58.8	1.571	3.7	2 0 3
51.9	1.763	2.4	2 1 1